# Ac3Al6Ir5
Calculated PXRD pattern, Cu Ka. Input: the GGA-PBE geometry in Alexandria.
Neutral-atom scattering factors, no anomalous dispersion.

Atomic structure:
```
data_Ac3Al6Ir5
_chemical_formula_sum 'Ac6 Al12 Ir10'
_cell_length_a 4.1561
_cell_length_b 12.9392
_cell_length_c 10.7793
_cell_angle_alpha 90.00
_cell_angle_beta 90.00
_cell_angle_gamma 90.00
_symmetry_space_group_name_H-M 'P 1'
_symmetry_Int_Tables_number 1
loop_
_symmetry_equiv_pos_as_xyz
'x,y,z'
loop_
_atom_site_label
_atom_site_type_symbol
_atom_site_fract_x
_atom_site_fract_y
_atom_site_fract_z
Ac1 Ac 0.2500 0.0881 0.2493
Ac2 Ac 0.2500 0.4119 0.2493
Ac3 Ac 0.2500 0.7500 0.2612
Ac4 Ac 0.7500 0.2500 0.7388
Ac5 Ac 0.7500 0.5881 0.7507
Ac6 Ac 0.7500 0.9119 0.7507
Al1 Al 0.2500 0.0535 0.5769
Al2 Al 0.2500 0.2500 0.4850
Al3 Al 0.2500 0.2500 0.9851
Al4 Al 0.2500 0.4465 0.5769
Al5 Al 0.2500 0.5811 0.0059
Al6 Al 0.2500 0.9189 0.0059
Al7 Al 0.7500 0.0811 0.9941
Al8 Al 0.7500 0.4189 0.9941
Al9 Al 0.7500 0.5535 0.4231
Al10 Al 0.7500 0.7500 0.0149
Al11 Al 0.7500 0.7500 0.5150
Al12 Al 0.7500 0.9465 0.4231
Ir1 Ir 0.2500 0.0793 0.8563
Ir2 Ir 0.2500 0.4207 0.8563
Ir3 Ir 0.2500 0.6391 0.5263
Ir4 Ir 0.2500 0.7500 0.8843
Ir5 Ir 0.2500 0.8609 0.5263
Ir6 Ir 0.7500 0.1391 0.4737
Ir7 Ir 0.7500 0.2500 0.1157
Ir8 Ir 0.7500 0.3609 0.4737
Ir9 Ir 0.7500 0.5793 0.1437
Ir10 Ir 0.7500 0.9207 0.1437
```

Top 10 peaks for 2θ from 15° to 90°, sorted by position:
two_theta	intensity
24.78	29
26.47	36
29.85	70
31.01	27
32.43	52
32.95	82
34.27	100
41.92	34
43.55	43
47.13	31